Record 1
The following is a simulated powder diffraction line list of V7Os. It was derived from the GGA-PBE geometry in Alexandria, using a wavelength of 1.5418 Å.

The 8 most intense peaks (2θ from 10° to 90°), in order of falling intensity:
Position (°2θ)	d/Å	I/Imax	h k l
42.7	2.119	100	2 0 0
78.1	1.223	30	3 1 4
22.2	3.996	22	1 0 1
61.9	1.498	15	2 2 0
14.8	5.990	14	0 0 2
30.8	2.906	12	1 0 3
33.4	2.680	9	1 1 2
29.8	2.996	8	1 1 0

Crystal structure
Cell lengths 4.239, 4.239, 11.979 Å; angles 90.00, 90.00, 90.00 degrees
Space group I4/mmm (No. 139)
Asymmetric unit:
V (0.000, 0.000, 0.000)
V (0.000, 0.000, 0.246)
V (0.000, 0.500, 0.125)
Os (0.000, 0.000, 0.500)

Record 2
The following is a simulated powder diffraction line list of V3OsW3. It was derived from the GGA-PBE geometry in Alexandria, using a wavelength of 1.5418 Å.

The 8 most intense peaks (2θ from 10° to 90°), in order of falling intensity:
Position (°2θ)	d/Å	I/Imax	h k l
29.6	3.014	100	0 2 1
42.2	2.140	89	2 0 2
42.6	2.122	83	2 2 0
61.5	1.507	25	0 4 2
77.7	1.228	22	4 2 2
52.8	1.735	17	4 0 1
69.5	1.352	15	2 2 3
76.9	1.239	13	0 2 4

Crystal structure
Cell lengths 8.4863, 8.4863, 5.2661 Å; angles 90.00, 90.00, 120.00 degrees
Space group R3m (No. 160, hexagonal axes)
Asymmetric unit:
V (0.1718, 0.3436, 0.0000)
Os (0.0000, 0.0000, 0.1991)
W (0.1822, 0.3643, 0.4903)

Record 3
The following is a simulated powder diffraction line list of Zr2V6Os. It was derived from the GGA-PBE geometry in Alexandria, using a wavelength of 1.5418 Å.

The 8 most intense peaks (2θ from 10° to 90°), in order of falling intensity:
Position (°2θ)	d/Å	I/Imax	h k l
36.7	2.446	100	1 1 1
41.6	2.169	68	0 2 1
37.1	2.423	59	1 0 2
33.0	2.712	35	1 1 0
18.9	4.698	28	1 0 0
46.4	1.958	23	1 1 2
61.4	1.509	22	3 0 1
15.7	5.658	22	0 0 1

Crystal structure
Cell lengths 5.4245, 5.4245, 5.6579 Å; angles 90.00, 90.00, 120.00 degrees
Space group P-3m1 (No. 164)
Asymmetric unit:
Zr (0.3333, 0.6667, 0.3867)
V (0.1749, 0.3498, 0.8428)
Os (0.0000, 0.0000, 0.5000)

Record 4
The following is a simulated powder diffraction line list of Os7W. It was derived from the GGA-PBE geometry in Alexandria, using a wavelength of 1.5418 Å.

The 5 most intense peaks (2θ from 10° to 90°), in order of falling intensity:
Position (°2θ)	d/Å	I/Imax	h k l
40.3	2.238	100	2 2 2
46.9	1.938	49	4 0 0
82.6	1.169	39	6 2 2
68.5	1.370	32	4 4 0
87.1	1.119	12	4 4 4

Crystal structure
Cell lengths 7.752, 7.752, 7.752 Å; angles 90.00, 90.00, 90.00 degrees
Space group Fm-3m (No. 225)
Asymmetric unit:
Os (0.000, 0.000, 0.000)
Os (0.000, 0.250, 0.250)
W (0.000, 0.000, 0.500)

Record 5
The following is a simulated powder diffraction line list of Os7W6. It was derived from the GGA-PBE geometry in Alexandria, using a wavelength of 1.5418 Å.

The 8 most intense peaks (2θ from 10° to 90°), in order of falling intensity:
Position (°2θ)	d/Å	I/Imax	h k l
40.6	2.221	100	1 1 6
44.2	2.047	55	2 0 5
42.2	2.142	53	0 1 11
40.9	2.206	49	0 2 1
39.2	2.301	48	1 0 10
35.1	2.556	47	1 1 0
74.2	1.278	38	2 2 0
47.4	1.918	29	0 2 7

Crystal structure
Cell lengths 5.1116, 5.1116, 26.9269 Å; angles 90.00, 90.00, 120.00 degrees
Space group R-3m (No. 166, hexagonal axes)
Asymmetric unit:
Os (0.0000, 0.0000, 0.0000)
Os (0.0070, 0.5035, 0.4119)
W (0.0000, 0.0000, 0.1641)
W (0.0000, 0.0000, 0.3493)
W (0.0000, 0.0000, 0.4527)

Record 6
The following is a simulated powder diffraction line list of Os3W2. It was derived from the GGA-PBE geometry in Alexandria, using a wavelength of 1.5418 Å.

The 8 most intense peaks (2θ from 10° to 90°), in order of falling intensity:
Position (°2θ)	d/Å	I/Imax	h k l
39.8	2.264	100	1 5 1
41.6	2.172	50	2 0 2
48.7	1.871	23	3 5 1
40.7	2.216	23	4 2 0
43.9	2.064	14	2 2 2
68.2	1.375	14	1 5 3
38.3	2.351	13	4 0 0
82.8	1.166	12	0 10 2

Crystal structure
Cell lengths 9.406, 13.251, 4.898 Å; angles 90.00, 90.00, 90.00 degrees
Space group Fdd2 (No. 43)
Asymmetric unit:
Os (0.000, 0.000, 0.000)
Os (0.056, 0.404, 0.020)
W (0.034, 0.300, 0.560)

Record 7
The following is a simulated powder diffraction line list of Os12W17. It was derived from the GGA-PBE geometry in Alexandria, using a wavelength of 1.5418 Å.

The 8 most intense peaks (2θ from 10° to 90°), in order of falling intensity:
Position (°2θ)	d/Å	I/Imax	h k l
39.5	2.283	100	3 3 0
71.6	1.318	28	7 2 1
43.8	2.065	26	3 3 2
47.9	1.899	18	4 3 1
45.9	1.977	10	4 2 2
85.0	1.141	10	6 6 0
68.5	1.370	9	5 5 0
37.1	2.421	7	4 0 0

Crystal structure
Cell lengths 9.684, 9.684, 9.684 Å; angles 90.00, 90.00, 90.00 degrees
Space group I-43m (No. 217)
Asymmetric unit:
Os (0.091, 0.091, 0.717)
W (0.000, 0.000, 0.000)
W (0.038, 0.355, 0.645)
W (0.175, 0.175, 0.175)

Record 8
The following is a simulated powder diffraction line list of OsW8. It was derived from the GGA-PBE geometry in Alexandria, using a wavelength of 1.5418 Å.

The 7 most intense peaks (2θ from 10° to 90°), in order of falling intensity:
Position (°2θ)	d/Å	I/Imax	h k l
40.2	2.244	100	3 3 0
73.1	1.295	23	6 3 1
72.9	1.297	12	3 3 2
58.2	1.585	11	6 0 0
86.7	1.123	8	6 0 2
58.0	1.591	6	0 0 2
86.9	1.121	4	6 6 0

Crystal structure
Cell lengths 9.511, 9.511, 3.181 Å; angles 90.00, 90.00, 90.00 degrees
Space group I4/mmm (No. 139)
Asymmetric unit:
Os (0.000, 0.000, 0.000)
W (0.000, 0.332, 0.000)
W (0.168, 0.168, 0.500)

Record 9
The following is a simulated powder diffraction line list of Y5Os3. It was derived from the GGA-PBE geometry in Alexandria, using a wavelength of 1.5418 Å.

The 8 most intense peaks (2θ from 10° to 90°), in order of falling intensity:
Position (°2θ)	d/Å	I/Imax	h k l
35.6	2.524	100	2 2 1
35.4	2.535	23	0 4 0
38.0	2.369	23	0 0 2
67.1	1.396	16	2 2 3
52.9	1.731	15	0 4 2
63.7	1.461	13	2 6 1
49.4	1.844	9	4 0 0
29.1	3.072	9	1 3 0

Crystal structure
Cell lengths 7.375, 10.139, 4.738 Å; angles 90.00, 90.00, 90.00 degrees
Space group Cmmm (No. 65)
Asymmetric unit:
Y (0.000, 0.000, 0.000)
Y (0.216, 0.500, 0.500)
Y (0.250, 0.250, 0.000)
Os (0.000, 0.222, 0.500)
Os (0.000, 0.500, 0.000)

Record 10
The following is a simulated powder diffraction line list of Y3Os5. It was derived from the GGA-PBE geometry in Alexandria, using a wavelength of 1.5418 Å.

The 8 most intense peaks (2θ from 10° to 90°), in order of falling intensity:
Position (°2θ)	d/Å	I/Imax	h k l
10.9	8.113	100	0 0 1
11.1	7.986	74	0 1 0
41.1	2.195	47	-1 3 1
36.3	2.476	45	2 1 1
34.3	2.613	40	0 2 3
13.1	6.737	31	0 1 1
35.8	2.509	27	0 2 -2
41.7	2.167	25	1 0 -3

Crystal structure
Cell lengths 4.966, 8.533, 8.763 Å; angles 71.01, 75.07, 77.64 degrees
Space group P-1 (No. 2)
Asymmetric unit:
Y (0.172, 0.123, 0.078)
Y (0.282, 0.391, 0.545)
Y (0.303, 0.594, 0.133)
Os (0.066, 0.694, 0.672)
Os (0.189, 0.813, 0.347)
Os (0.241, 0.044, 0.484)
Os (0.343, 0.066, 0.749)
Os (0.457, 0.756, 0.756)

Record 11
The following is a simulated powder diffraction line list of YOs8. It was derived from the GGA-PBE geometry in Alexandria, using a wavelength of 1.5418 Å.

The 8 most intense peaks (2θ from 10° to 90°), in order of falling intensity:
Position (°2θ)	d/Å	I/Imax	h k l
39.3	2.293	100	3 0 1
45.6	1.989	31	3 3 0
80.0	1.199	21	6 3 1
66.7	1.403	20	3 3 2
45.8	1.979	17	0 0 2
80.4	1.194	15	3 0 3
84.5	1.146	10	6 0 2
66.5	1.406	9	6 0 0

Crystal structure
Cell lengths 8.438, 8.438, 3.958 Å; angles 90.00, 90.00, 90.00 degrees
Space group I4/mmm (No. 139)
Asymmetric unit:
Y (0.000, 0.000, 0.000)
Os (0.000, 0.346, 0.000)
Os (0.181, 0.181, 0.500)

Record 12
The following is a simulated powder diffraction line list of YOs. It was derived from the GGA-PBE geometry in Alexandria, using a wavelength of 1.5418 Å.

The 8 most intense peaks (2θ from 10° to 90°), in order of falling intensity:
Position (°2θ)	d/Å	I/Imax	h k l
13.2	6.732	100	0 0 3
33.1	2.705	63	0 1 5
43.0	2.103	47	1 1 0
45.2	2.008	29	1 1 3
30.3	2.954	22	1 0 4
60.3	1.535	20	1 1 9
55.3	1.661	15	2 0 5
43.6	2.075	14	0 1 8

Crystal structure
Cell lengths 4.2066, 4.2066, 20.1974 Å; angles 90.00, 90.00, 120.00 degrees
Space group R-3m (No. 166, hexagonal axes)
Asymmetric unit:
Y (0.0000, 0.0000, 0.0939)
Os (0.0000, 0.0000, 0.3239)